For Ce10Si8O3, the PBE geometry in the Materials Project gives the calculated PXRD pattern in this record (a wavelength of 1.5418 Å).
Peak positions follow from Bragg's law for the DFT cell and can differ from measured ones.

The 10 most intense peaks (5° ≤ 2θ ≤ 70°), by angle:
hkl 2 1 0, d = 3.472 Å, I 169
hkl 2 0 1, d = 3.216 Å, I 240
hkl 2 1 1, d = 2.750 Å, I 1000
hkl 2 2 0, d = 2.651 Å, I 199
hkl 4 0 0, d = 2.296 Å, I 191
hkl 0 0 2, d = 2.253 Å, I 182
hkl 5 0 1, d = 1.701 Å, I 124
hkl 3 3 1, d = 1.646 Å, I 161
hkl 4 0 2, d = 1.608 Å, I 124
hkl 2 1 3, d = 1.378 Å, I 118

Atomic structure:
abc: 10.6059 10.6059 4.5055
angles: 90.00 90.00 120.00
Space group P6/mmm (No. 191)
One atom of each set of equivalent atoms:
Ce 0.0000 0.0000 0.0000 (multiplicity 1)
Ce 0.0000 0.5000 0.5000 (multiplicity 3)
Ce 0.2123 0.4247 0.0000 (multiplicity 6)
Si 0.0000 0.2223 0.5000 (multiplicity 6)
Si 0.3333 0.6667 0.5000 (multiplicity 2)
O 0.0000 0.5000 0.0000 (multiplicity 3)